# 1
For LiVSiO4, a cell relaxed with PBE+U gives the calculated powder XRD pattern in this record (λ = 1.5418 Å (Cu Kα)).
Intensities are scaled so that the largest is 100.

The 6 most intense peaks (10 to 90 degrees two-theta), low angle first:
- 15.30 deg, d 5.790, I 100
- 18.24 deg, d 4.863, I 43
- 26.60 deg, d 3.351, I 46
- 29.03 deg, d 3.076, I 43
- 29.18 deg, d 3.060, I 59
- 31.93 deg, d 2.803, I 41

Atomic structure:
Cell lengths 5.8965, 6.5610, 9.5225 Å; angles 75.75, 86.30, 79.15 degrees
Space group P-1 (No. 2)
Inequivalent atoms, fractional coordinates:
Li 0.0591 0.3358 0.1722
Li 0.0853 0.8419 0.2423
V 0.3113 0.6431 0.5741
V 0.4887 0.9299 0.7921
Si 0.2168 0.1747 0.4988
Si 0.3508 0.2888 0.8821
O 0.0468 0.7320 0.4517
O 0.1991 0.1162 0.8534
O 0.2227 0.1606 0.3312
O 0.2588 0.5340 0.7833
O 0.3087 0.9425 0.6131
O 0.3398 0.2972 0.0529
O 0.3848 0.3448 0.5192
O 0.3945 0.8228 0.1741

# 2
For Li7V4P6O24, a cell relaxed with PBE+U gives the calculated powder XRD pattern in this record (λ = 1.5418 Å (Cu Kα)).
Intensities are scaled so that the largest is 100.

The 6 most intense peaks (10 to 90 degrees two-theta), low angle first:
- 20.31 deg, d 4.373, I 78
- 23.62 deg, d 3.767, I 34
- 23.68 deg, d 3.757, I 100
- 23.74 deg, d 3.748, I 34
- 28.69 deg, d 3.112, I 45
- 32.30 deg, d 2.772, I 37

Atomic structure:
Cell lengths 8.7268, 8.7550, 8.7601 Å; angles 60.97, 60.77, 60.79 degrees
Space group P1 (No. 1)
Inequivalent atoms, fractional coordinates:
Li 0.0000 0.0000 0.0000
Li 0.0549 0.4060 0.8860
Li 0.2675 0.7897 0.6091
Li 0.4785 0.1745 0.3439
Li 0.5368 0.5767 0.2297
Li 0.6529 0.5220 0.8232
Li 0.8838 0.0583 0.4012
V 0.1256 0.6474 0.4735
V 0.4117 0.9319 0.7567
V 0.6222 0.1429 0.9690
V 0.9155 0.4376 0.2610
P 0.0190 0.2451 0.6607
P 0.2237 0.0422 0.1591
P 0.3143 0.5392 0.0692
P 0.5206 0.3340 0.5693
P 0.7242 0.8367 0.3637
P 0.8113 0.7442 0.8671
O 0.9998 0.2786 0.4825
O 0.0115 0.6904 0.7304
O 0.0509 0.2250 0.1486
O 0.0775 0.3930 0.6467
O 0.1390 0.5136 0.1001
O 0.1553 0.0445 0.7183
O 0.1665 0.9074 0.3581
O 0.2475 0.9793 0.0087
O 0.2934 0.6008 0.2180
O 0.3714 0.6752 0.8697
O 0.3856 0.5335 0.5108
O 0.3979 0.0689 0.1286
O 0.4616 0.1837 0.5870
O 0.4868 0.3564 0.0774
O 0.5228 0.8905 0.5019
O 0.5410 0.3015 0.7468
O 0.6609 0.7677 0.8038
O 0.7060 0.3247 0.3979
O 0.7318 0.0099 0.1833
O 0.7585 0.6636 0.3332
O 0.7769 0.9158 0.8998
O 0.8018 0.5712 0.0477
O 0.8343 0.2512 0.8325
O 0.8716 0.8159 0.4271

# 3
For LiMn8O16, a cell relaxed with PBE+U gives the calculated powder XRD pattern in this record (λ = 1.5418 Å (Cu Kα)).
Intensities are scaled so that the largest is 100.

The 6 most intense peaks (10 to 90 degrees two-theta), low angle first:
- 12.54 deg, d 7.059, I 100
- 12.67 deg, d 6.985, I 97
- 17.77 deg, d 4.991, I 81
- 17.96 deg, d 4.939, I 88
- 28.43 deg, d 3.140, I 83
- 36.52 deg, d 2.460, I 89

Atomic structure:
Cell lengths 9.8789, 5.9010, 13.9700 Å; angles 90.00, 134.40, 90.00 degrees
Space group Pc (No. 7)
Inequivalent atoms, fractional coordinates:
Li 0.0000 0.1250 0.0000
Mn 0.2665 0.3757 0.4082
Mn 0.2682 0.1255 0.9089
Mn 0.5651 0.1254 0.7219
Mn 0.5677 0.3747 0.2243
Mn 0.6034 0.3756 0.9238
Mn 0.6043 0.1259 0.4248
Mn 0.9015 0.1264 0.2392
Mn 0.9018 0.3763 0.7391
O 0.0269 0.3748 0.3666
O 0.0289 0.1250 0.8710
O 0.1332 0.1240 0.2776
O 0.1345 0.3737 0.7794
O 0.3704 0.1248 0.5308
O 0.3713 0.3747 0.0315
O 0.4431 0.1245 0.2303
O 0.4449 0.3746 0.7309
O 0.4670 0.3755 0.4140
O 0.4675 0.1251 0.9137
O 0.7031 0.1242 0.2354
O 0.7030 0.3748 0.7352
O 0.7263 0.3751 0.4158
O 0.7335 0.1256 0.9171
O 0.7991 0.1249 0.6175
O 0.7994 0.3751 0.1170

# 4
For Ce2W4S3O14, a cell relaxed with PBE+U gives the calculated powder XRD pattern in this record (λ = 1.5418 Å (Cu Kα)).
Intensities are scaled so that the largest is 100.

The 6 most intense peaks (10 to 90 degrees two-theta), low angle first:
- 15.35 deg, d 5.772, I 58
- 27.19 deg, d 3.279, I 97
- 27.33 deg, d 3.263, I 85
- 27.57 deg, d 3.235, I 74
- 30.98 deg, d 2.886, I 100
- 35.03 deg, d 2.562, I 57

Atomic structure:
Cell lengths 16.0380, 7.2033, 13.5936 Å; angles 90.00, 97.78, 90.00 degrees
Space group C2/c (No. 15)
Inequivalent atoms, fractional coordinates:
Ce 0.0952 0.0118 0.4485
W 0.0597 0.2941 0.1670
W 0.2410 0.4748 0.7539
S 0.0000 0.2883 0.7500
S 0.1869 0.4985 0.9981
O 0.0369 0.4045 0.6759
O 0.0464 0.0430 0.0869
O 0.0686 0.1721 0.8020
O 0.1341 0.3336 0.0107
O 0.1342 0.3359 0.4797
O 0.2423 0.4693 0.9192
O 0.2502 0.0250 0.4087

# 5
For Na3Li3Mn2P2C2O14, a cell relaxed with PBE+U gives the calculated powder XRD pattern in this record (λ = 1.5418 Å (Cu Kα)).
Intensities are scaled so that the largest is 100.

The 6 most intense peaks (10 to 90 degrees two-theta), low angle first:
- 10.11 deg, d 8.748, I 100
- 20.07 deg, d 4.425, I 23
- 26.35 deg, d 3.383, I 87
- 26.66 deg, d 3.344, I 32
- 33.21 deg, d 2.698, I 35
- 35.38 deg, d 2.537, I 45

Atomic structure:
Cell lengths 6.7664, 8.7511, 10.1499 Å; angles 91.06, 90.30, 91.09 degrees
Space group P1 (No. 1)
Inequivalent atoms, fractional coordinates:
Na 0.0000 0.0000 0.0000
Na 0.0003 0.0015 0.4996
Na 0.0001 0.4892 0.2454
Na 0.4979 0.4908 0.2472
Na 0.7434 0.6627 0.5027
Na 0.9988 0.4923 0.7501
Li 0.2594 0.8354 0.2468
Li 0.2666 0.8320 0.7499
Li 0.4794 0.0167 0.5076
Li 0.4816 0.0126 0.0074
Li 0.5191 0.4766 0.7445
Li 0.7352 0.6667 0.9992
Mn 0.2514 0.3861 0.5148
Mn 0.2506 0.3880 0.0090
Mn 0.7439 0.1020 0.2326
Mn 0.7450 0.1015 0.7370
P 0.2522 0.1481 0.2699
P 0.2572 0.1520 0.7725
P 0.7406 0.3410 0.9729
P 0.7440 0.3312 0.4775
C 0.2583 0.7013 0.4911
C 0.2591 0.7013 0.9894
C 0.7386 0.7978 0.7629
C 0.7476 0.7975 0.2537
O 0.0629 0.0525 0.2340
O 0.0633 0.0649 0.7327
O 0.2482 0.3107 0.2117
O 0.2499 0.6560 0.6126
O 0.2518 0.5998 0.3949
O 0.2522 0.6007 0.8929
O 0.2522 0.6564 0.1111
O 0.2670 0.3181 0.7189
O 0.2704 0.1665 0.4234
O 0.2717 0.1658 0.9262
O 0.2723 0.8450 0.9615
O 0.2727 0.8446 0.4631
O 0.4265 0.0514 0.2166
O 0.4271 0.0508 0.7192
O 0.5672 0.4296 0.5251
O 0.5674 0.4421 0.0206
O 0.7263 0.6504 0.7779
O 0.7297 0.3252 0.8190
O 0.7314 0.1666 0.5315
O 0.7325 0.1767 0.0291
O 0.7420 0.8875 0.8666
O 0.7416 0.8935 0.3536
O 0.7425 0.3190 0.3239
O 0.7460 0.8488 0.1336
O 0.7481 0.8573 0.6471
O 0.7544 0.6534 0.2737
O 0.9334 0.4300 0.0133
O 0.9352 0.4192 0.5231

# 6
For LiVF4, a cell relaxed with PBE+U gives the calculated powder XRD pattern in this record (λ = 1.5418 Å (Cu Kα)).
Intensities are scaled so that the largest is 100.

The 6 most intense peaks (10 to 90 degrees two-theta), low angle first:
- 17.16 deg, d 5.167, I 100
- 22.01 deg, d 4.039, I 34
- 25.05 deg, d 3.555, I 25
- 27.93 deg, d 3.194, I 30
- 28.32 deg, d 3.151, I 43
- 41.89 deg, d 2.157, I 28

Atomic structure:
Cell lengths 5.1154, 5.1722, 5.1879 Å; angles 92.27, 103.30, 90.42 degrees
Space group P-1 (No. 2)
Inequivalent atoms, fractional coordinates:
Li 0.1800 0.4991 0.2421
V 0.3044 0.0504 0.7100
F 0.0111 0.2059 0.4090
F 0.1701 0.3381 0.8987
F 0.3316 0.8559 0.0471
F 0.4892 0.7590 0.5294

# 7
For CrO, a cell relaxed with PBE+U gives the calculated powder XRD pattern in this record (λ = 1.5418 Å (Cu Kα)).
Intensities are scaled so that the largest is 100.

The 6 most intense peaks (10 to 90 degrees two-theta), low angle first:
- 33.07 deg, d 2.709, I 100
- 33.46 deg, d 2.678, I 65
- 34.39 deg, d 2.608, I 67
- 34.86 deg, d 2.573, I 66
- 51.43 deg, d 1.777, I 29
- 51.56 deg, d 1.772, I 29

Atomic structure:
Cell lengths 3.0478, 3.0977, 5.4238 Å; angles 92.13, 92.29, 99.79 degrees
Space group P-1 (No. 2)
Inequivalent atoms, fractional coordinates:
Cr 0.0000 0.0000 0.0000
Cr 0.5000 0.5000 0.5000
O 0.0180 0.4850 0.7523

# 8
For Na2CoP2O7, a cell relaxed with PBE+U gives the calculated powder XRD pattern in this record (λ = 1.5418 Å (Cu Kα)).
Intensities are scaled so that the largest is 100.

The 6 most intense peaks (10 to 90 degrees two-theta), low angle first:
- 10.16 deg, d 8.705, I 58
- 22.25 deg, d 3.996, I 100
- 29.61 deg, d 3.017, I 90
- 30.22 deg, d 2.958, I 45
- 32.24 deg, d 2.777, I 86
- 34.21 deg, d 2.621, I 51

Atomic structure:
Cell lengths 6.5411, 9.4911, 10.6167 Å; angles 106.21, 105.02, 101.67 degrees
Space group P-1 (No. 2)
Inequivalent atoms, fractional coordinates:
Na 0.0832 0.2239 0.1857
Na 0.0841 0.2238 0.6862
Na 0.2421 0.4689 0.0530
Na 0.2436 0.4694 0.5535
Co 0.2668 0.8686 0.6378
Co 0.2675 0.8683 0.1382
P 0.2711 0.1090 0.4321
P 0.2712 0.1095 0.9323
P 0.3055 0.6395 0.8559
P 0.3065 0.6398 0.3559
O 0.0661 0.1578 0.3774
O 0.0661 0.1586 0.8782
O 0.1761 0.6723 0.9585
O 0.1774 0.6722 0.4587
O 0.2275 0.9854 0.4943
O 0.2282 0.9861 0.9948
O 0.2391 0.6980 0.2356
O 0.2388 0.6977 0.7356
O 0.3063 0.4728 0.8126
O 0.3078 0.4733 0.3122
O 0.3850 0.0746 0.8208
O 0.3862 0.0744 0.3213
O 0.4294 0.2682 0.5565
O 0.4304 0.2688 0.0562